# 1
This entry pairs a crystal structure of PmPd4Pb4 with its calculated X-ray powder pattern. Radiation: CuKα. Structure: a crystal structure in Alexandria, relaxed with GGA-PBE.

Most intense lines, 2θ = 10–90°, by intensity:
two_theta  I/Imax
28.1  100
38.6  71
28.9  47
39.0  35
43.0  30
49.3  22
54.4  19
36.9  19
87.0  16
33.7  15

Atomic structure:
```
data_PmPd4Pb4
_cell_length_a 7.274
_cell_length_b 7.274
_cell_length_c 7.274
_cell_angle_alpha 95.79
_cell_angle_beta 95.79
_cell_angle_gamma 142.95
_space_group_name_H-M_alt 'P 1'
_space_group_IT_number 1
loop_
_space_group_symop_operation_xyz
'x,y,z'
loop_
_atom_site_label
_atom_site_type_symbol
_atom_site_fract_x
_atom_site_fract_y
_atom_site_fract_z
_atom_site_occupancy
Pm1 Pm 0.000 0.000 0.000 1
Pd1 Pd 0.310 0.423 0.733 1
Pd2 Pd 0.423 0.690 0.112 1
Pd3 Pd 0.577 0.310 0.888 1
Pd4 Pd 0.690 0.577 0.267 1
Pb1 Pb 0.131 0.647 0.778 1
Pb2 Pb 0.353 0.131 0.484 1
Pb3 Pb 0.647 0.869 0.516 1
Pb4 Pb 0.869 0.353 0.222 1
```

# 2
This entry pairs a crystal structure of Sr2PmPd4Pb3 with its calculated X-ray powder pattern. Radiation: CuKα. Structure: a crystal structure in Alexandria, relaxed with GGA-PBE.

Most intense lines, 2θ = 10–90°, by intensity:
two_theta  I/Imax
30.7  100
37.6  94
41.2  83
29.9  58
20.1  38
70.4  34
54.3  33
15.4  31
48.8  30
63.7  25

Atomic structure:
```
data_Sr2PmPd4Pb3
_cell_length_a 4.780
_cell_length_b 4.780
_cell_length_c 11.513
_cell_angle_alpha 90.00
_cell_angle_beta 90.00
_cell_angle_gamma 90.00
_space_group_name_H-M_alt 'P 1'
_space_group_IT_number 1
loop_
_space_group_symop_operation_xyz
'x,y,z'
loop_
_atom_site_label
_atom_site_type_symbol
_atom_site_fract_x
_atom_site_fract_y
_atom_site_fract_z
_atom_site_occupancy
Sr1 Sr 0.000 0.500 0.222 1
Sr2 Sr 0.500 0.000 0.778 1
Pm1 Pm 0.000 0.000 0.500 1
Pd1 Pd 0.000 0.000 0.000 1
Pd2 Pd 0.000 0.500 0.644 1
Pd3 Pd 0.500 0.000 0.356 1
Pd4 Pd 0.500 0.500 0.000 1
Pb1 Pb 0.000 0.500 0.880 1
Pb2 Pb 0.500 0.000 0.120 1
Pb3 Pb 0.500 0.500 0.500 1
```

# 3
This entry pairs a crystal structure of Pr2Pd3Pb5 with its calculated X-ray powder pattern. Radiation: CuKα. Structure: a crystal structure in Alexandria, relaxed with GGA-PBE.

Most intense lines, 2θ = 10–90°, by intensity:
two_theta  I/Imax
31.6  100
31.7  75
38.4  54
34.7  35
30.2  30
42.1  26
59.6  26
37.4  25
34.2  23
54.6  19

Atomic structure:
```
data_Pr2Pd3Pb5
_cell_length_a 14.133
_cell_length_b 14.133
_cell_length_c 7.695
_cell_angle_alpha 90.00
_cell_angle_beta 90.00
_cell_angle_gamma 160.88
_space_group_name_H-M_alt 'P 1'
_space_group_IT_number 1
loop_
_space_group_symop_operation_xyz
'x,y,z'
loop_
_atom_site_label
_atom_site_type_symbol
_atom_site_fract_x
_atom_site_fract_y
_atom_site_fract_z
_atom_site_occupancy
Pr1 Pr 0.024 0.976 0.500 1
Pr2 Pr 0.328 0.672 0.529 1
Pr3 Pr 0.672 0.328 0.029 1
Pr4 Pr 0.976 0.024 0.000 1
Pd1 Pd 0.105 0.895 0.243 1
Pd2 Pd 0.275 0.725 0.042 1
Pd3 Pd 0.452 0.548 0.282 1
Pd4 Pd 0.548 0.452 0.782 1
Pd5 Pd 0.725 0.275 0.542 1
Pd6 Pd 0.895 0.105 0.743 1
Pb1 Pb 0.096 0.904 0.870 1
Pb2 Pb 0.204 0.796 0.324 1
Pb3 Pb 0.210 0.790 0.747 1
Pb4 Pb 0.378 0.622 0.008 1
Pb5 Pb 0.451 0.549 0.667 1
Pb6 Pb 0.549 0.451 0.167 1
Pb7 Pb 0.622 0.378 0.508 1
Pb8 Pb 0.790 0.210 0.247 1
Pb9 Pb 0.796 0.204 0.824 1
Pb10 Pb 0.904 0.096 0.370 1
```

# 4
This entry pairs a crystal structure of PrPd12Pb3 with its calculated X-ray powder pattern. Radiation: CuKα. Structure: a crystal structure in Alexandria, relaxed with GGA-PBE.

Most intense lines, 2θ = 10–90°, by intensity:
two_theta  I/Imax
37.6  100
43.7  33
76.2  25
63.7  21
43.9  16
76.6  12
63.5  11
80.4  11
30.5  6
21.4  5

Atomic structure:
```
data_PrPd12Pb3
_cell_length_a 4.146
_cell_length_b 4.146
_cell_length_c 16.494
_cell_angle_alpha 90.00
_cell_angle_beta 90.00
_cell_angle_gamma 90.00
_space_group_name_H-M_alt 'P 1'
_space_group_IT_number 1
loop_
_space_group_symop_operation_xyz
'x,y,z'
loop_
_atom_site_label
_atom_site_type_symbol
_atom_site_fract_x
_atom_site_fract_y
_atom_site_fract_z
_atom_site_occupancy
Pr1 Pr 0.000 0.000 0.000 1
Pd1 Pd 0.000 0.500 0.131 1
Pd2 Pd 0.000 0.500 0.377 1
Pd3 Pd 0.000 0.500 0.623 1
Pd4 Pd 0.000 0.500 0.869 1
Pd5 Pd 0.500 0.000 0.131 1
Pd6 Pd 0.500 0.000 0.377 1
Pd7 Pd 0.500 0.000 0.623 1
Pd8 Pd 0.500 0.000 0.869 1
Pd9 Pd 0.500 0.500 0.000 1
Pd10 Pd 0.500 0.500 0.254 1
Pd11 Pd 0.500 0.500 0.500 1
Pd12 Pd 0.500 0.500 0.746 1
Pb1 Pb 0.000 0.000 0.253 1
Pb2 Pb 0.000 0.000 0.500 1
Pb3 Pb 0.000 0.000 0.747 1
```

# 5
This entry pairs a crystal structure of Pr3Pd4Pb2 with its calculated X-ray powder pattern. Radiation: CuKα. Structure: a crystal structure in Alexandria, relaxed with GGA-PBE.

Most intense lines, 2θ = 10–90°, by intensity:
two_theta  I/Imax
33.1  100
35.5  86
40.0  63
28.4  54
32.8  33
38.3  31
35.4  25
19.7  25
52.7  23
58.6  16

Atomic structure:
```
data_Pr3Pd4Pb2
_cell_length_a 5.550
_cell_length_b 5.550
_cell_length_c 9.637
_cell_angle_alpha 90.60
_cell_angle_beta 90.60
_cell_angle_gamma 47.96
_space_group_name_H-M_alt 'P 1'
_space_group_IT_number 1
loop_
_space_group_symop_operation_xyz
'x,y,z'
loop_
_atom_site_label
_atom_site_type_symbol
_atom_site_fract_x
_atom_site_fract_y
_atom_site_fract_z
_atom_site_occupancy
Pr1 Pr 0.000 0.000 0.000 1
Pr2 Pr 0.367 0.367 0.620 1
Pr3 Pr 0.633 0.633 0.380 1
Pd1 Pd 0.075 0.075 0.617 1
Pd2 Pd 0.293 0.293 0.918 1
Pd3 Pd 0.707 0.707 0.082 1
Pd4 Pd 0.925 0.925 0.383 1
Pb1 Pb 0.339 0.339 0.216 1
Pb2 Pb 0.661 0.661 0.784 1
```

# 6
This entry pairs a crystal structure of Pr2Pd3Pb2 with its calculated X-ray powder pattern. Radiation: CuKα. Structure: a crystal structure in Alexandria, relaxed with GGA-PBE.

Most intense lines, 2θ = 10–90°, by intensity:
two_theta  I/Imax
28.3  100
37.8  91
31.7  61
40.5  52
70.0  35
34.9  31
52.3  29
47.9  29
58.6  25
56.5  22

Atomic structure:
```
data_Pr2Pd3Pb2
_cell_length_a 7.720
_cell_length_b 7.720
_cell_length_c 7.720
_cell_angle_alpha 109.47
_cell_angle_beta 109.47
_cell_angle_gamma 109.47
_space_group_name_H-M_alt 'P 1'
_space_group_IT_number 1
loop_
_space_group_symop_operation_xyz
'x,y,z'
loop_
_atom_site_label
_atom_site_type_symbol
_atom_site_fract_x
_atom_site_fract_y
_atom_site_fract_z
_atom_site_occupancy
Pr1 Pr 0.000 0.488 0.500 1
Pr2 Pr 0.012 0.012 0.012 1
Pr3 Pr 0.488 0.500 0.000 1
Pr4 Pr 0.500 0.000 0.488 1
Pd1 Pd 0.018 0.268 0.750 1
Pd2 Pd 0.232 0.250 0.482 1
Pd3 Pd 0.250 0.482 0.232 1
Pd4 Pd 0.268 0.750 0.018 1
Pd5 Pd 0.482 0.232 0.250 1
Pd6 Pd 0.750 0.018 0.268 1
Pb1 Pb 0.000 0.899 0.500 1
Pb2 Pb 0.500 0.000 0.899 1
Pb3 Pb 0.601 0.601 0.601 1
Pb4 Pb 0.899 0.500 0.000 1
```